# 1
For NaPrHo2Te4, a GGA-PBE-relaxed structure gives the simulated powder diffractogram in this record (Cu Kα (weighted mean of Kα1 and Kα2)).
Intensities are scaled so that the largest is 100.

Most intense lines, 2θ from 10° to 90°, low angle first:
12.09°, 7.320 Å, rel. 12; 28.45°, 3.138 Å, rel. 100; 40.12°, 2.247 Å, rel. 13; 40.57°, 2.223 Å, rel. 25; 40.76°, 2.214 Å, rel. 25; 41.20°, 2.191 Å, rel. 12; 50.83°, 1.796 Å, rel. 13; 58.86°, 1.569 Å, rel. 13; 66.52°, 1.406 Å, rel. 11; 66.78°, 1.401 Å, rel. 12

Atomic structure:
a b c (Å): 7.6965 4.3824 7.7412
angles (deg): 90.00 108.77 90.00
Space group P2/m (No. 10)
Inequivalent atoms, fractional coordinates:
Na  0.0000  0.0000  0.0000
Pr  0.5000  0.5000  0.0000
Ho  0.0000  0.5000  0.5000
Ho  0.5000  0.0000  0.5000
Te  0.2416  0.0000  0.7378
Te  0.2516  0.5000  0.2618

***

# 2
For RhW2Se5, a GGA-PBE-relaxed structure gives the simulated powder diffractogram in this record (Cu Kα (weighted mean of Kα1 and Kα2)).
Intensities are scaled so that the largest is 100.

Most intense lines, 2θ from 10° to 90°, low angle first:
15.49°, 5.722 Å, rel. 100; 15.59°, 5.683 Å, rel. 52; 21.35°, 4.162 Å, rel. 58; 28.00°, 3.187 Å, rel. 33; 33.17°, 2.701 Å, rel. 56; 39.46°, 2.284 Å, rel. 30; 40.45°, 2.230 Å, rel. 36; 41.94°, 2.154 Å, rel. 22; 43.48°, 2.081 Å, rel. 37; 45.84°, 1.979 Å, rel. 22

Atomic structure:
a b c (Å): 12.4296 6.5469 5.3986
angles (deg): 90.00 112.97 90.00
Space group Cm (No. 8)
Inequivalent atoms, fractional coordinates:
Rh  0.0000  0.0000  0.0000
W  0.0841  0.0000  0.5716
W  0.4699  0.0000  0.9632
Se  0.1288  0.2617  0.9399
Se  0.2819  0.0000  0.5940
Se  0.4307  0.2552  0.2560

***

# 3
For Y2AlN3, a GGA-PBE-relaxed structure gives the simulated powder diffractogram in this record (Cu Kα (weighted mean of Kα1 and Kα2)).
Intensities are scaled so that the largest is 100.

Most intense lines, 2θ from 10° to 90°, low angle first:
24.16°, 3.683 Å, rel. 27; 30.14°, 2.965 Å, rel. 53; 31.18°, 2.869 Å, rel. 93; 32.37°, 2.765 Å, rel. 100; 34.21°, 2.621 Å, rel. 53; 34.94°, 2.568 Å, rel. 27; 37.05°, 2.427 Å, rel. 31; 38.79°, 2.321 Å, rel. 26; 44.26°, 2.047 Å, rel. 25; 46.19°, 1.965 Å, rel. 26

Atomic structure:
a b c (Å): 5.5308 10.5528 11.1741
angles (deg): 90.00 90.00 90.00
Space group Cmce (No. 64)
Inequivalent atoms, fractional coordinates:
Y  0.0000  0.0287  0.1507
Y  0.0000  0.1418  0.5768
Al  0.0000  0.2495  0.8370
N  0.0000  0.0733  0.3620
N  0.0000  0.1518  0.9807
N  0.2500  0.1788  0.7500

***

# 4
For CsZnS2, a GGA-PBE-relaxed structure gives the simulated powder diffractogram in this record (Cu Kα (weighted mean of Kα1 and Kα2)).
Intensities are scaled so that the largest is 100.

Most intense lines, 2θ from 10° to 90°, low angle first:
22.97°, 3.872 Å, rel. 56; 26.92°, 3.312 Å, rel. 33; 27.74°, 3.216 Å, rel. 100; 28.90°, 3.090 Å, rel. 54; 29.89°, 2.989 Å, rel. 18; 30.62°, 2.919 Å, rel. 20; 33.07°, 2.709 Å, rel. 19; 50.50°, 1.807 Å, rel. 27; 54.07°, 1.696 Å, rel. 19; 54.44°, 1.685 Å, rel. 17

Atomic structure:
a b c (Å): 3.7664 6.1798 9.9376
angles (deg): 90.00 90.48 90.00
Space group P2_1 (No. 4)
Inequivalent atoms, fractional coordinates:
Cs  0.2440  0.0000  0.1877
Zn  0.2518  0.0046  0.5993
S  0.2506  0.6344  0.5135
S  0.2568  0.0045  0.8271

***

# 5
For Fe2BrCl8, a GGA-PBE-relaxed structure gives the simulated powder diffractogram in this record (Cu Kα (weighted mean of Kα1 and Kα2)).
Intensities are scaled so that the largest is 100.

Most intense lines, 2θ from 10° to 90°, low angle first:
13.39°, 6.613 Å, rel. 33; 16.78°, 5.284 Å, rel. 81; 17.04°, 5.203 Å, rel. 100; 23.02°, 3.863 Å, rel. 36; 25.28°, 3.524 Å, rel. 50; 25.83°, 3.449 Å, rel. 16; 30.07°, 2.971 Å, rel. 72; 36.43°, 2.466 Å, rel. 25; 36.91°, 2.435 Å, rel. 38; 42.07°, 2.148 Å, rel. 43

Atomic structure:
a b c (Å): 12.9336 7.7183 7.8131
angles (deg): 90.00 97.35 90.00
Space group C2/m (No. 12)
Inequivalent atoms, fractional coordinates:
Fe  0.2234  0.0000  0.3233
Br  0.0000  0.0000  0.0000
Cl  0.1194  0.5000  0.7373
Cl  0.1244  0.2141  0.1780
Cl  0.2059  0.0000  0.5959

***

# 6
For La7PmHo3, a GGA-PBE-relaxed structure gives the simulated powder diffractogram in this record (Cu Kα (weighted mean of Kα1 and Kα2)).
Intensities are scaled so that the largest is 100.

Most intense lines, 2θ from 10° to 90°, low angle first:
30.08°, 2.971 Å, rel. 100; 30.99°, 2.886 Å, rel. 29; 35.14°, 2.554 Å, rel. 65; 49.94°, 1.826 Å, rel. 24; 51.14°, 1.786 Å, rel. 21; 59.40°, 1.556 Å, rel. 14; 59.94°, 1.543 Å, rel. 27; 62.52°, 1.486 Å, rel. 12; 81.22°, 1.184 Å, rel. 12; 83.99°, 1.152 Å, rel. 15

Atomic structure:
a b c (Å): 7.3052 7.3052 8.6568
angles (deg): 90.00 90.00 120.00
Space group P3m1 (No. 156)
Inequivalent atoms, fractional coordinates:
La  0.0000  0.0000  0.0000
La  0.0045  0.5022  0.9678
La  0.1691  0.3382  0.3335
Pm  0.6667  0.3333  0.3062
Ho  0.3340  0.1670  0.6505

***

# 7
For TlBIrO6, a GGA-PBE-relaxed structure gives the simulated powder diffractogram in this record (Cu Kα (weighted mean of Kα1 and Kα2)).
Intensities are scaled so that the largest is 100.

Most intense lines, 2θ from 10° to 90°, low angle first:
22.29°, 3.988 Å, rel. 53; 25.93°, 3.436 Å, rel. 100; 27.10°, 3.291 Å, rel. 86; 30.01°, 2.978 Å, rel. 65; 35.10°, 2.557 Å, rel. 50; 35.77°, 2.510 Å, rel. 22; 47.30°, 1.922 Å, rel. 26; 49.17°, 1.853 Å, rel. 27; 50.98°, 1.791 Å, rel. 19; 58.83°, 1.570 Å, rel. 22

Atomic structure:
a b c (Å): 4.4291 9.4243 5.0527
angles (deg): 90.00 96.48 90.00
Space group C2 (No. 5)
Inequivalent atoms, fractional coordinates:
Tl  0.0000  0.0000  0.0000
B  0.0000  0.4253  0.5000
Ir  0.0000  0.6993  0.5000
O  0.1637  0.5288  0.3392
O  0.2264  0.2115  0.2044
O  0.2347  0.3452  0.6679